[1]
Calculated powder X-ray diffraction pattern
Compound: Pm6SnAs2Se3
Radiation: CuKα
Structure: a structure optimized by DFT (PBE)

Largest 12 diffraction maxima, low angle first, 2θ from 10° to 80°:
hkl	2θ (°)	d/Å	intensity
3 1 0	25.5	3.489	130
1 1 -2	29.6	3.022	1000
0 2 0	42.3	2.137	749
4 2 -2	50.1	1.822	61
8 0 -4	52.4	1.746	131
6 2 0	52.5	1.744	133
2 2 -4	61.4	1.511	123
3 3 0	67.6	1.386	13
8 2 -4	69.5	1.352	279
1 3 -2	69.6	1.350	57
10 0 4	77.2	1.235	61
7 3 -2	77.4	1.233	188

Atomic structure:
Lattice parameters (Å, degrees): 18.626 4.269 8.555 90.00 103.18 90.00
Space group C2/m (No. 12)
Symmetry-distinct sites (fractional):
Pm 0.003 0.000 0.258 [4 per cell]
Pm 0.169 0.500 0.092 [4 per cell]
Pm 0.170 0.500 0.577 [4 per cell]
Sn 0.000 0.500 0.000 [2 per cell]
As 0.168 0.000 0.335 [4 per cell]
Se 0.000 0.500 0.500 [2 per cell]
Se 0.166 0.000 0.832 [4 per cell]

[2]
Calculated powder X-ray diffraction pattern
Compound: PmZnAsSe
Radiation: CuKα
Structure: a structure optimized by DFT (PBE)

Largest 12 diffraction maxima, low angle first, 2θ from 10° to 80°:
hkl	2θ (°)	d/Å	intensity
0 0 6	12.8	6.935	471
1 0 4	25.6	3.474	389
1 0 7	28.5	3.132	948
1 0 10	32.5	2.759	707
1 0 13	37.2	2.417	424
1 1 0	42.5	2.128	1000
0 1 17	44.4	2.039	466
0 2 7	52.0	1.760	177
0 2 10	54.5	1.684	230
2 1 10	71.4	1.321	170
3 0 0	77.7	1.228	167
1 2 17	79.1	1.210	195

Atomic structure:
Lattice parameters (Å, degrees): 4.2553 4.2553 41.6098 90.00 90.00 120.00
Space group R-3m (No. 166, hexagonal axes)
Symmetry-distinct sites (fractional):
Pm 0.0000 0.0000 0.0884 [6 per cell]
Zn 0.0000 0.0000 0.3109 [6 per cell]
As 0.0000 0.0000 0.3736 [6 per cell]
Se 0.0000 0.0000 0.2114 [6 per cell]

[3]
Calculated powder X-ray diffraction pattern
Compound: Pm3SmAs3
Radiation: CuKα
Structure: a structure optimized by DFT (PBE)

Largest 12 diffraction maxima, low angle first, 2θ from 10° to 80°:
hkl	2θ (°)	d/Å	intensity
2 1 1	24.3	3.658	99
2 2 0	28.2	3.168	148
3 1 0	31.6	2.833	1000
3 1 2	37.6	2.394	605
3 3 2	47.6	1.910	85
4 2 2	49.9	1.829	182
4 3 1	52.0	1.757	329
6 1 1	64.1	1.453	215
6 0 2	65.9	1.417	115
5 4 1	67.8	1.382	142
4 4 4	73.2	1.293	71
7 2 1	78.4	1.219	147

Atomic structure:
Lattice parameters (Å, degrees): 8.959 8.959 8.959 90.00 90.00 90.00
Space group P2_13 (No. 198)
Symmetry-distinct sites (fractional):
Pm 0.066 0.434 0.566 [4 per cell]
Pm 0.183 0.817 0.317 [4 per cell]
Pm 0.184 0.184 0.184 [4 per cell]
Sm 0.066 0.566 0.934 [4 per cell]
As 0.000 0.251 0.875 [12 per cell]

[4]
Calculated powder X-ray diffraction pattern
Compound: Pm6SnAs4
Radiation: CuKα
Structure: a structure optimized by DFT (PBE)

Largest 12 diffraction maxima, low angle first, 2θ from 10° to 80°:
hkl	2θ (°)	d/Å	intensity
1 1 4	27.5	3.239	230
0 2 6	28.0	3.186	824
1 3 1	28.8	3.104	417
1 3 2	29.7	3.011	1000
1 3 3	31.1	2.873	433
1 1 8	40.3	2.240	284
0 6 4	42.3	2.139	492
2 0 0	42.6	2.122	349
1 1 9	44.0	2.058	173
1 5 5	44.2	2.051	227
2 2 6	51.8	1.766	302
1 9 6	69.6	1.350	155

Atomic structure:
Lattice parameters (Å, degrees): 4.244 13.971 21.481 90.00 90.00 90.00
Space group Cmcm (No. 63)
Symmetry-distinct sites (fractional):
Pm 0.000 0.000 0.000 [4 per cell]
Pm 0.000 0.170 0.250 [4 per cell]
Pm 0.000 0.273 0.583 [8 per cell]
Pm 0.000 0.458 0.161 [8 per cell]
Sn 0.000 0.162 0.750 [4 per cell]
As 0.000 0.091 0.125 [8 per cell]
As 0.000 0.362 0.042 [8 per cell]

- What is the formula in the second record?
  PmZnAsSe

- Which formula does entry 2 have?
  PmZnAsSe